Record 1
For Rb2TaBiS4, a cell relaxed with GGA-PBE gives the theoretical powder diffraction line list in this record (Cu Kα X-rays).

Largest 12 diffraction maxima, in order of rising 2θ, 10 to 80 degrees two-theta:
15.5 deg, d = 5.728 Å, I 36
21.9 deg, d = 4.053 Å, I 59
27.0 deg, d = 3.307 Å, I 100
31.2 deg, d = 2.866 Å, I 33
41.7 deg, d = 2.166 Å, I 74
44.7 deg, d = 2.026 Å, I 13
50.4 deg, d = 1.812 Å, I 37
53.0 deg, d = 1.728 Å, I 14
55.6 deg, d = 1.653 Å, I 12
62.8 deg, d = 1.480 Å, I 20
69.6 deg, d = 1.350 Å, I 16
71.8 deg, d = 1.314 Å, I 22

Structure:
```
data_Rb2TaBiS4
_cell_length_a 7.017
_cell_length_b 7.017
_cell_length_c 7.017
_cell_angle_alpha 109.44
_cell_angle_beta 109.44
_cell_angle_gamma 109.54
_symmetry_space_group_name_H-M 'P 1'
_symmetry_Int_Tables_number 1
loop_
_symmetry_equiv_pos_as_xyz
'x,y,z'
loop_
_atom_site_label
_atom_site_type_symbol
_atom_site_fract_x
_atom_site_fract_y
_atom_site_fract_z
Rb1 Rb 0.000 0.000 0.000
Rb2 Rb 0.750 0.250 0.500
Ta1 Ta 0.250 0.750 0.500
Bi1 Bi 0.500 0.500 0.000
S1 S 0.268 0.096 0.546
S2 S 0.278 0.732 0.829
S3 S 0.551 0.722 0.454
S4 S 0.904 0.449 0.171
```

---

Record 2
For Cu2NiBr5, a cell relaxed with GGA-PBE gives the theoretical powder diffraction line list in this record (Cu Kα X-rays).

Largest 12 diffraction maxima, in order of rising 2θ, 10 to 80 degrees two-theta:
14.9 deg, d = 5.928 Å, I 34
17.9 deg, d = 4.951 Å, I 100
18.2 deg, d = 4.886 Å, I 33
27.7 deg, d = 3.217 Å, I 31
28.0 deg, d = 3.182 Å, I 89
29.6 deg, d = 3.021 Å, I 37
35.3 deg, d = 2.542 Å, I 56
35.7 deg, d = 2.517 Å, I 37
36.8 deg, d = 2.443 Å, I 38
45.6 deg, d = 1.989 Å, I 39
45.9 deg, d = 1.976 Å, I 32
51.7 deg, d = 1.768 Å, I 34

Structure:
```
data_Cu2NiBr5
_cell_length_a 6.627
_cell_length_b 6.627
_cell_length_c 6.043
_cell_angle_alpha 116.54
_cell_angle_beta 116.54
_cell_angle_gamma 77.62
_symmetry_space_group_name_H-M 'P 1'
_symmetry_Int_Tables_number 1
loop_
_symmetry_equiv_pos_as_xyz
'x,y,z'
loop_
_atom_site_label
_atom_site_type_symbol
_atom_site_fract_x
_atom_site_fract_y
_atom_site_fract_z
Cu1 Cu 0.217 0.783 0.000
Cu2 Cu 0.783 0.217 0.000
Ni1 Ni 0.799 0.799 0.169
Br1 Br 0.071 0.498 0.084
Br2 Br 0.083 0.083 0.338
Br3 Br 0.498 0.071 0.084
Br4 Br 0.506 0.506 0.874
Br5 Br 0.848 0.848 0.623
```